1.
The following is a theoretical powder XRD pattern of KLiTaSe4. It was derived from the GGA-PBE geometry in Alexandria, using λ = 1.5418 Å (Cu Kα).
Neutral-atom scattering factors, no anomalous dispersion.

Peak list (12 most intense, 10° ≤ 2θ ≤ 80°, low angle first)
two_theta, Rel. int.
13.37, 100
17.73, 34
18.55, 55
19.63, 58
23.90, 41
28.78, 29
34.57, 69
34.93, 31
37.10, 28
39.49, 32
40.91, 36
46.35, 27

Structure:
```
KLiTaSe4
1.0
7.402 0.000 0.000
0.000 5.575 0.000
-2.748 0.000 9.307
K Li Ta Se
2 2 2 8
Cartesian
1.598 1.394 0.268
3.055 4.181 9.038
-0.127 1.394 5.172
4.780 4.181 4.134
1.415 4.181 3.236
3.238 1.394 6.070
-0.661 0.011 2.755
-0.661 2.776 2.755
2.957 4.181 1.416
2.318 1.394 3.732
2.335 4.181 5.574
1.697 1.394 7.891
5.314 2.799 6.552
5.314 5.564 6.552
```

---

2.
The following is a theoretical powder XRD pattern of K2LiTaSe4. It was derived from the GGA-PBE geometry in Alexandria, using λ = 1.5418 Å (Cu Kα).
Neutral-atom scattering factors, no anomalous dispersion.

Peak list (12 most intense, 10° ≤ 2θ ≤ 80°, low angle first)
two_theta, Rel. int.
15.26, 41
16.83, 85
27.54, 100
30.79, 27
34.03, 58
41.78, 17
43.69, 23
46.75, 25
47.53, 21
49.64, 14
51.88, 19
52.07, 14

Structure:
```
K2LiTaSe4
1.0
8.213 0.000 0.000
0.000 8.213 0.000
0.000 0.000 6.870
K Li Ta Se
4 2 2 8
Cartesian
0.000 4.106 0.000
0.000 4.106 3.435
4.106 0.000 0.000
4.106 0.000 3.435
0.000 0.000 0.000
4.106 4.106 3.435
0.000 0.000 3.435
4.106 4.106 0.000
1.353 1.353 1.942
1.353 6.860 4.928
2.754 2.754 5.377
2.754 5.459 1.493
5.459 2.754 1.493
5.459 5.459 5.377
6.860 1.353 4.928
6.860 6.860 1.942
```

---

3.
The following is a theoretical powder XRD pattern of K2LiVSe4. It was derived from the GGA-PBE geometry in Alexandria, using λ = 1.5418 Å (Cu Kα).
Neutral-atom scattering factors, no anomalous dispersion.

Peak list (12 most intense, 10° ≤ 2θ ≤ 80°, low angle first)
two_theta, Rel. int.
14.56, 19
16.76, 31
24.59, 23
27.42, 100
29.37, 30
31.02, 28
31.19, 51
36.17, 25
37.56, 21
41.46, 26
48.38, 20
51.85, 19

Structure:
```
K2LiVSe4
1.0
0.000 6.646 12.165
2.967 0.000 12.165
2.967 6.646 0.000
K Li V Se
4 2 2 8
Cartesian
2.225 4.984 1.363
3.709 8.307 7.445
2.225 4.984 16.885
3.709 8.307 22.967
0.742 1.661 3.041
5.192 11.630 21.289
2.225 4.984 9.124
3.709 8.307 15.206
2.386 2.995 4.369
3.548 6.318 10.451
2.065 6.973 4.369
2.065 2.995 13.879
3.869 10.296 10.451
3.869 6.318 19.961
2.386 6.973 13.879
3.548 10.296 19.961
```

---

4.
The following is a theoretical powder XRD pattern of KLiSn3. It was derived from the GGA-PBE geometry in Alexandria, using λ = 1.5418 Å (Cu Kα).
Neutral-atom scattering factors, no anomalous dispersion.

Peak list (12 most intense, 10° ≤ 2θ ≤ 80°, low angle first)
two_theta, Rel. int.
18.06, 100
19.35, 58
25.65, 28
27.62, 25
29.23, 65
33.31, 85
36.60, 74
38.15, 81
41.10, 27
50.31, 53
52.72, 26
66.91, 34

Structure:
```
KLiSn3
1.0
12.861 0.000 0.000
0.000 6.945 0.000
0.000 0.000 6.945
K Li Sn
4 4 12
Cartesian
3.215 0.000 0.005
3.215 3.473 3.468
9.646 0.000 6.940
9.646 3.473 3.477
0.004 1.736 1.736
12.858 5.209 5.209
6.434 1.736 5.209
6.427 5.209 1.736
12.859 1.736 5.209
0.002 5.209 1.736
1.752 6.943 3.477
1.752 3.475 6.940
4.679 0.002 3.477
4.679 3.470 6.940
6.428 1.736 1.736
6.433 5.209 5.209
8.182 6.943 3.467
8.182 3.475 0.005
11.109 0.002 3.467
11.109 3.470 0.005
```

---

5.
The following is a theoretical powder XRD pattern of K2SrLi. It was derived from the GGA-PBE geometry in Alexandria, using λ = 1.5418 Å (Cu Kα).
Neutral-atom scattering factors, no anomalous dispersion.

Peak list (12 most intense, 10° ≤ 2θ ≤ 80°, low angle first)
two_theta, Rel. int.
20.55, 27
21.97, 56
23.18, 33
25.78, 100
29.22, 51
31.15, 25
37.62, 39
41.80, 18
44.59, 25
48.33, 17
49.76, 30
62.76, 17

Structure:
```
K2SrLi
1.0
4.322 0.000 0.000
0.000 4.322 0.000
0.000 0.000 11.512
K Sr Li
2 1 1
Cartesian
0.000 0.000 0.000
2.161 2.161 3.693
2.161 2.161 8.133
0.000 0.000 6.110
```

---

6.
The following is a theoretical powder XRD pattern of KLi4Te. It was derived from the GGA-PBE geometry in Alexandria, using λ = 1.5418 Å (Cu Kα).
Neutral-atom scattering factors, no anomalous dispersion.

Peak list (12 most intense, 10° ≤ 2θ ≤ 80°, low angle first)
two_theta, Rel. int.
18.19, 100
21.03, 24
29.92, 82
35.24, 75
42.82, 11
46.88, 25
48.18, 12
53.11, 31
56.62, 25
62.16, 12
65.36, 18
70.51, 13

Structure:
```
KLi4Te
1.0
0.000 4.224 4.224
4.224 0.000 4.224
4.224 4.224 0.000
K Li Te
1 4 1
Cartesian
0.000 0.000 0.000
5.276 3.172 3.172
3.172 5.276 3.172
3.172 3.172 5.276
5.276 5.276 5.276
2.112 2.112 2.112
```

---

7.
The following is a theoretical powder XRD pattern of K3LiTe2. It was derived from the GGA-PBE geometry in Alexandria, using λ = 1.5418 Å (Cu Kα).
Neutral-atom scattering factors, no anomalous dispersion.

Peak list (12 most intense, 10° ≤ 2θ ≤ 80°, low angle first)
two_theta, Rel. int.
20.07, 100
20.94, 38
23.52, 22
25.00, 43
28.72, 58
30.25, 24
31.69, 33
32.20, 27
32.83, 49
34.59, 36
41.22, 29
51.11, 28

Structure:
```
K3LiTe2
1.0
-4.243 7.565 3.562
4.243 -7.565 3.562
4.243 7.565 -3.562
K Li Te
6 2 4
Cartesian
5.778 2.650 0.000
0.000 0.000 1.781
1.535 4.915 0.000
2.707 2.650 3.562
0.000 0.000 5.343
-1.535 4.915 3.562
4.243 0.000 1.781
0.000 7.565 1.781
2.509 1.555 0.000
2.509 -1.555 3.562
1.733 9.120 0.000
1.733 6.011 3.562
```

---

8.
The following is a theoretical powder XRD pattern of K2Li2UTe4. It was derived from the GGA-PBE geometry in Alexandria, using λ = 1.5418 Å (Cu Kα).
Neutral-atom scattering factors, no anomalous dispersion.

Peak list (12 most intense, 10° ≤ 2θ ≤ 80°, low angle first)
two_theta, Rel. int.
11.29, 50
11.43, 42
13.01, 26
22.32, 47
22.97, 26
26.13, 26
29.08, 100
30.55, 35
33.58, 21
38.73, 28
39.59, 22
44.20, 28

Structure:
```
K2Li2UTe4
1.0
8.248 -2.276 0.000
8.248 2.276 0.000
-2.879 0.000 7.839
K Li U Te
2 2 1 4
Cartesian
2.075 0.000 0.516
11.541 0.000 7.323
3.784 0.000 4.009
9.833 0.000 3.830
-1.439 0.000 3.920
1.282 0.000 5.358
5.889 0.000 5.800
7.727 0.000 2.039
12.335 0.000 2.481
```

---

9.
The following is a theoretical powder XRD pattern of KLiZrTe3. It was derived from the GGA-PBE geometry in Alexandria, using λ = 1.5418 Å (Cu Kα).
Neutral-atom scattering factors, no anomalous dispersion.

Peak list (12 most intense, 10° ≤ 2θ ≤ 80°, low angle first)
two_theta, Rel. int.
11.03, 63
24.49, 22
27.44, 48
27.81, 34
28.33, 100
28.97, 36
32.24, 17
35.45, 21
38.30, 17
41.73, 39
42.45, 26
45.83, 28

Structure:
```
KLiZrTe3
1.0
9.450 0.000 0.000
0.000 4.259 0.000
-3.374 0.000 9.753
K Li Zr Te
2 2 2 6
Cartesian
1.166 1.065 2.536
4.910 3.194 7.217
-1.291 1.065 5.872
7.367 3.194 3.881
0.181 3.194 8.176
5.896 1.065 1.577
-1.818 1.065 8.542
0.339 3.194 5.343
3.836 3.194 1.436
2.241 1.065 8.317
5.737 1.065 4.410
7.894 3.194 1.210
```

---

10.
The following is a theoretical powder XRD pattern of K2LiTl6. It was derived from the GGA-PBE geometry in Alexandria, using λ = 1.5418 Å (Cu Kα).
Neutral-atom scattering factors, no anomalous dispersion.

Peak list (12 most intense, 10° ≤ 2θ ≤ 80°, low angle first)
two_theta, Rel. int.
12.57, 61
18.53, 28
25.30, 25
30.14, 15
31.02, 70
31.83, 37
32.71, 100
37.58, 38
38.35, 22
40.36, 16
49.98, 14
58.30, 15

Structure:
```
K2LiTl6
1.0
5.668 -3.650 0.000
5.668 3.650 0.000
-0.901 0.000 7.041
K Li Tl
2 1 6
Cartesian
1.523 0.000 2.540
8.912 0.000 4.502
5.217 0.000 3.521
4.321 1.989 1.150
6.114 1.989 5.891
3.362 0.000 5.674
7.073 0.000 1.367
4.321 -1.989 1.150
6.114 -1.989 5.891
```

---

11.
The following is a theoretical powder XRD pattern of K2LiTl7. It was derived from the GGA-PBE geometry in Alexandria, using λ = 1.5418 Å (Cu Kα).
Neutral-atom scattering factors, no anomalous dispersion.

Peak list (12 most intense, 10° ≤ 2θ ≤ 80°, low angle first)
two_theta, Rel. int.
15.67, 69
26.14, 17
27.32, 100
31.65, 98
34.58, 24
35.50, 34
45.37, 70
48.29, 18
53.77, 41
56.37, 24
63.16, 16
75.15, 28

Structure:
```
K2LiTl7
1.0
0.000 5.654 5.654
5.654 0.000 5.654
5.654 5.654 0.000
K Li Tl
2 1 7
Cartesian
2.827 2.827 2.827
8.481 8.481 8.481
0.000 0.000 0.000
5.654 5.654 2.639
5.654 2.639 5.654
8.668 5.654 5.654
5.654 5.654 5.654
2.639 5.654 5.654
5.654 8.668 5.654
5.654 5.654 8.668
```

---

12.
The following is a theoretical powder XRD pattern of KLi2Tl10. It was derived from the GGA-PBE geometry in Alexandria, using λ = 1.5418 Å (Cu Kα).
Neutral-atom scattering factors, no anomalous dispersion.

Peak list (12 most intense, 10° ≤ 2θ ≤ 80°, low angle first)
two_theta, Rel. int.
11.98, 88
28.08, 49
28.25, 54
30.28, 40
31.07, 84
32.46, 100
32.67, 52
33.92, 55
35.61, 65
35.75, 65
37.33, 53
37.46, 74

Structure:
```
KLi2Tl10
1.0
0.000 7.388 8.285
3.159 0.000 8.285
3.159 7.388 0.000
K Li Tl
1 2 10
Cartesian
0.000 0.000 0.000
1.579 0.000 4.142
1.579 7.388 4.142
1.579 3.694 0.000
3.159 4.904 3.001
3.159 5.791 6.290
3.159 9.872 3.001
3.159 8.985 6.290
1.579 3.694 8.285
3.159 5.791 10.279
3.159 4.904 13.568
3.159 8.985 10.279
3.159 9.872 13.568
```